Record 1
For Ac4Ir2I, a crystal structure in OQMD, relaxed with PBE gives the computed powder diffraction line list in this record (Cu Kα X-rays).

```
7
Lattice="2.202 1.271 15.583 -2.202 1.271 15.583 0.000 -2.543 15.583" Properties=species:S:1:pos:R:3 pbc="T T T"
Ac 0.000 0.000 5.837
Ac 0.000 0.000 12.856
Ac 0.000 0.000 33.893
Ac 0.000 0.000 40.912
Ir 0.000 0.000 19.891
Ir 0.000 0.000 26.858
I 0.000 0.000 0.000
```

Main lines, sorted by position (10 to 90 degrees two-theta):
| Position (°2θ) | I/Imax |
| --- | --- |
| 11.4 | 39 |
| 26.9 | 100 |
| 34.3 | 34 |
| 35.7 | 18 |
| 41.0 | 44 |
| 42.7 | 10 |
| 45.5 | 22 |
| 49.7 | 19 |
| 66.3 | 16 |
| 80.6 | 10 |

---

Record 2
For AcIrI, a crystal structure in OQMD, relaxed with PBE gives the computed powder diffraction line list in this record (Cu Kα X-rays).

```
6
Lattice="3.868 -2.232 0.000 3.868 2.232 0.000 -2.619 0.000 12.554" Properties=species:S:1:pos:R:3 pbc="T T T"
Ac -0.001 0.000 1.990
Ac 5.117 0.000 10.564
Ir 2.579 0.000 0.022
Ir 2.538 0.000 12.532
I -0.042 0.000 8.286
I 5.158 0.000 4.268
```

Main lines, sorted by position (10 to 90 degrees two-theta):
| Position (°2θ) | I/Imax |
| --- | --- |
| 23.1 | 22 |
| 28.4 | 100 |
| 29.9 | 49 |
| 33.2 | 38 |
| 35.0 | 64 |
| 40.4 | 81 |
| 41.1 | 32 |
| 43.2 | 21 |
| 60.6 | 16 |
| 60.7 | 31 |

---

Record 3
For AcIn4Pd, a crystal structure in OQMD, relaxed with PBE gives the computed powder diffraction line list in this record (Cu Kα X-rays).

```
12
Lattice="2.335 -8.720 0.000 2.335 8.720 0.000 0.000 0.000 7.551" Properties=species:S:1:pos:R:3 pbc="T T T"
Ac 2.335 6.624 5.663
Ac 2.335 -6.624 1.888
In 2.335 7.463 1.888
In 2.335 3.223 4.174
In 2.335 3.223 7.152
In 2.335 0.000 0.000
In 2.335 0.000 3.775
In 2.335 -3.223 0.398
In 2.335 -3.223 3.377
In 2.335 -7.463 5.663
Pd 2.335 4.755 1.888
Pd 2.335 -4.755 5.663
```

Main lines, sorted by position (10 to 90 degrees two-theta):
| Position (°2θ) | I/Imax |
| --- | --- |
| 30.9 | 100 |
| 31.3 | 15 |
| 32.0 | 52 |
| 33.0 | 29 |
| 34.2 | 55 |
| 38.6 | 39 |
| 39.1 | 27 |
| 48.2 | 16 |
| 51.7 | 17 |
| 56.1 | 18 |

---

Record 4
For Li6AcIr2, a crystal structure in OQMD, relaxed with PBE gives the computed powder diffraction line list in this record (Cu Kα X-rays).

```
9
Lattice="7.879 0.000 0.000 -3.939 6.823 0.000 0.000 0.000 2.844" Properties=species:S:1:pos:R:3 pbc="T T T"
Li -1.410 2.443 0.000
Li -2.402 4.160 1.422
Li 2.820 0.000 0.000
Li 1.537 2.663 1.422
Li 4.804 0.000 1.422
Li 2.529 4.381 0.000
Ac 0.000 0.000 1.422
Ir 0.000 4.549 0.000
Ir 3.940 2.274 0.000
```

Main lines, sorted by position (10 to 90 degrees two-theta):
| Position (°2θ) | I/Imax |
| --- | --- |
| 22.6 | 100 |
| 34.2 | 35 |
| 39.6 | 27 |
| 41.3 | 21 |
| 46.1 | 16 |
| 47.6 | 28 |
| 58.6 | 15 |
| 62.4 | 13 |
| 68.4 | 10 |
| 70.4 | 9 |

---

Record 5
For AcSn2Ir2, a crystal structure in OQMD, relaxed with PBE gives the computed powder diffraction line list in this record (Cu Kα X-rays).

```
10
Lattice="4.570 0.000 0.000 0.000 4.570 0.000 0.000 0.000 11.023" Properties=species:S:1:pos:R:3 pbc="T T T"
Ac 1.142 1.142 2.743
Ac 3.427 3.427 8.281
Sn 1.142 1.142 9.607
Sn 1.142 3.427 5.512
Sn 3.427 1.142 5.512
Sn 3.427 3.427 1.417
Ir 1.142 1.142 6.969
Ir 1.142 3.427 0.000
Ir 3.427 1.142 0.000
Ir 3.427 3.427 4.055
```

Main lines, sorted by position (10 to 90 degrees two-theta):
| Position (°2θ) | I/Imax |
| --- | --- |
| 31.2 | 60 |
| 32.1 | 100 |
| 39.4 | 67 |
| 43.1 | 23 |
| 45.7 | 28 |
| 51.1 | 31 |
| 57.0 | 23 |
| 61.9 | 23 |
| 66.9 | 25 |
| 81.6 | 17 |

---

Record 6
For Ac2Zn3Ir, a crystal structure in OQMD, relaxed with PBE gives the computed powder diffraction line list in this record (Cu Kα X-rays).

```
6
Lattice="4.163 0.000 0.000 0.000 4.499 0.000 0.000 0.000 7.883" Properties=species:S:1:pos:R:3 pbc="T T T"
Ac 0.000 0.000 0.000
Ac 0.000 2.249 3.567
Zn 2.081 0.000 5.030
Zn 2.081 2.249 1.104
Zn 2.081 2.249 6.359
Ir 2.081 0.000 2.413
```

Main lines, sorted by position (10 to 90 degrees two-theta):
| Position (°2θ) | I/Imax |
| --- | --- |
| 11.2 | 20 |
| 22.8 | 17 |
| 31.3 | 49 |
| 31.4 | 100 |
| 39.7 | 41 |
| 40.1 | 22 |
| 43.5 | 18 |
| 51.7 | 24 |
| 60.3 | 24 |
| 72.2 | 14 |

---

Q: Which formula does entry 1 have?
A: Ac4Ir2I